Diffraction record for BaCSNCl. The PXRD pattern is simulated, not measured: it uses a PBE-relaxed structure and copper Kα.
No peak broadening, texture or thermal motion is included.

Structure:
a b c (Å): 5.913 4.690 8.905
angles (deg): 90.00 98.71 90.00
Fractional coordinates of all 10 atoms:
Ba: 0.210 0.250 0.301
Ba: 0.790 0.750 0.699
C: 0.394 0.250 0.846
C: 0.606 0.750 0.154
S: 0.140 0.250 0.896
S: 0.860 0.750 0.104
N: 0.421 0.750 0.191
N: 0.579 0.250 0.809
Cl: 0.252 0.750 0.548
Cl: 0.748 0.250 0.452

Largest 12 diffraction maxima, sorted by position, 10° ≤ 2θ ≤ 90°:
2θ (°)  d (Å)  Rel. int.
16.9  5.249  56.2
19.5  4.561  45.2
21.5  4.139  63.9
24.3  3.658  80.2
27.8  3.209  100.0
30.3  2.954  33.1
30.6  2.922  35.8
33.3  2.691  55.4
36.3  2.478  48.1
36.3  2.472  33.6
37.4  2.403  47.2
38.4  2.345  43.5



Diffraction record for RbUAgS3. The PXRD pattern is simulated, not measured: it uses a PBE-relaxed structure and copper Kα.
No peak broadening, texture or thermal motion is included.

Structure:
a b c (Å): 7.725 7.725 10.535
angles (deg): 90.00 90.00 149.07
Fractional coordinates of all 12 atoms:
Rb: 0.238 0.762 0.750
Rb: 0.762 0.238 0.250
U: 0.500 0.500 0.000
U: 0.500 0.500 0.500
Ag: 0.047 0.953 0.250
Ag: 0.953 0.047 0.750
S: 0.119 0.881 0.037
S: 0.119 0.881 0.463
S: 0.444 0.556 0.250
S: 0.556 0.444 0.750
S: 0.881 0.119 0.537
S: 0.881 0.119 0.963

Largest 12 diffraction maxima, sorted by position, 10° ≤ 2θ ≤ 90°:
2θ (°)  d (Å)  Rel. int.
11.9  7.445  100.0
20.7  4.300  31.1
23.9  3.722  25.2
28.1  3.171  75.3
29.4  3.036  32.6
33.0  2.716  46.4
34.0  2.633  32.0
40.2  2.245  16.6
41.1  2.194  33.5
44.0  2.060  15.8
52.1  1.755  15.4
60.3  1.536  16.0



Diffraction record for MgP3NO9. The PXRD pattern is simulated, not measured: it uses a PBE-relaxed structure and copper Kα.
No peak broadening, texture or thermal motion is included.

Structure:
a b c (Å): 9.609 7.301 12.155
angles (deg): 90.00 90.00 90.00
Fractional coordinates of all 56 atoms:
Mg: 0.008 0.250 0.214
Mg: 0.492 0.750 0.714
Mg: 0.508 0.250 0.286
Mg: 0.992 0.750 0.786
P: 0.208 0.750 0.550
P: 0.241 0.545 0.346
P: 0.241 0.955 0.346
P: 0.259 0.045 0.846
P: 0.259 0.455 0.846
P: 0.292 0.250 0.050
P: 0.708 0.750 0.950
P: 0.741 0.545 0.154
P: 0.741 0.955 0.154
P: 0.759 0.045 0.654
P: 0.759 0.455 0.654
P: 0.792 0.250 0.450
N: 0.107 0.750 0.085
N: 0.393 0.250 0.585
N: 0.607 0.750 0.415
N: 0.893 0.250 0.915
O: 0.100 0.750 0.637
O: 0.123 0.554 0.853
O: 0.123 0.946 0.853
O: 0.131 0.041 0.276
O: 0.131 0.459 0.276
O: 0.141 0.250 0.079
O: 0.177 0.579 0.467
O: 0.177 0.921 0.467
O: 0.228 0.250 0.803
O: 0.272 0.750 0.303
O: 0.323 0.079 0.967
O: 0.323 0.421 0.967
O: 0.359 0.750 0.579
O: 0.369 0.541 0.776
O: 0.369 0.959 0.776
O: 0.377 0.054 0.353
O: 0.377 0.446 0.353
O: 0.400 0.250 0.137
O: 0.600 0.750 0.863
O: 0.623 0.554 0.647
O: 0.623 0.946 0.647
O: 0.631 0.041 0.224
O: 0.631 0.459 0.224
O: 0.641 0.250 0.421
O: 0.677 0.579 0.033
O: 0.677 0.921 0.033
O: 0.728 0.250 0.697
O: 0.772 0.750 0.197
O: 0.823 0.079 0.533
O: 0.823 0.421 0.533
O: 0.859 0.750 0.921
O: 0.869 0.541 0.724
O: 0.869 0.959 0.724
O: 0.877 0.054 0.147
O: 0.877 0.446 0.147
O: 0.900 0.250 0.363

Largest 12 diffraction maxima, sorted by position, 10° ≤ 2θ ≤ 90°:
2θ (°)  d (Å)  Rel. int.
14.2  6.259  18.8
16.9  5.244  100.0
17.3  5.136  50.3
18.5  4.805  48.5
22.1  4.013  10.0
23.3  3.811  25.7
30.0  2.976  73.9
30.9  2.897  28.1
31.4  2.851  15.4
31.6  2.832  10.5
47.5  1.914  10.0
50.0  1.825  7.6



Diffraction record for TiP2O7. The PXRD pattern is simulated, not measured: it uses a PBE-relaxed structure and copper Kα.
No peak broadening, texture or thermal motion is included.

Structure:
a b c (Å): 8.227 8.227 8.227
angles (deg): 90.00 90.00 90.00
Fractional coordinates of all 40 atoms:
Ti: 0.000 0.000 0.000
Ti: 0.000 0.500 0.500
Ti: 0.500 0.000 0.500
Ti: 0.500 0.500 0.000
P: 0.111 0.611 0.889
P: 0.111 0.889 0.389
P: 0.389 0.111 0.889
P: 0.389 0.389 0.389
P: 0.611 0.611 0.611
P: 0.611 0.889 0.111
P: 0.889 0.111 0.611
P: 0.889 0.389 0.111
O: 0.000 0.000 0.500
O: 0.000 0.500 0.000
O: 0.057 0.715 0.418
O: 0.057 0.785 0.918
O: 0.082 0.557 0.715
O: 0.082 0.943 0.215
O: 0.215 0.082 0.943
O: 0.215 0.418 0.443
O: 0.285 0.582 0.943
O: 0.285 0.918 0.443
O: 0.418 0.057 0.715
O: 0.418 0.443 0.215
O: 0.443 0.215 0.418
O: 0.443 0.285 0.918
O: 0.500 0.000 0.000
O: 0.500 0.500 0.500
O: 0.557 0.715 0.082
O: 0.557 0.785 0.582
O: 0.582 0.557 0.785
O: 0.582 0.943 0.285
O: 0.715 0.082 0.557
O: 0.715 0.418 0.057
O: 0.785 0.582 0.557
O: 0.785 0.918 0.057
O: 0.918 0.057 0.785
O: 0.918 0.443 0.285
O: 0.943 0.215 0.082
O: 0.943 0.285 0.582

Largest 12 diffraction maxima, sorted by position, 10° ≤ 2θ ≤ 90°:
2θ (°)  d (Å)  Rel. int.
18.7  4.750  9.5
21.6  4.114  100.0
24.2  3.679  80.6
26.5  3.359  74.6
30.7  2.909  16.3
36.2  2.481  15.1
39.5  2.282  10.0
45.5  1.995  19.0
49.6  1.840  20.8
54.7  1.679  18.9
58.3  1.583  19.7
64.0  1.454  11.7



Diffraction record for Re3Sn. The PXRD pattern is simulated, not measured: it uses a PBE-relaxed structure and copper Kα.
No peak broadening, texture or thermal motion is included.

Structure:
a b c (Å): 5.727 5.727 4.581
angles (deg): 90.00 90.00 120.00
Fractional coordinates of all 8 atoms:
Re: 0.164 0.329 0.250
Re: 0.164 0.836 0.250
Re: 0.329 0.164 0.750
Re: 0.671 0.836 0.250
Re: 0.836 0.164 0.750
Re: 0.836 0.671 0.750
Sn: 0.333 0.667 0.750
Sn: 0.667 0.333 0.250

Largest 12 diffraction maxima, sorted by position, 10° ≤ 2θ ≤ 90°:
2θ (°)  d (Å)  Rel. int.
26.5  3.365  2.2
36.2  2.480  24.0
39.3  2.291  25.6
41.4  2.181  100.0
54.5  1.683  15.1
65.2  1.432  17.7
72.7  1.300  19.5
76.9  1.240  2.8
78.8  1.214  21.0
80.2  1.197  15.1
84.6  1.145  3.0
90.0  1.090  4.0



Diffraction record for Bi2SeO2. The PXRD pattern is simulated, not measured: it uses a PBE-relaxed structure and copper Kα.
No peak broadening, texture or thermal motion is included.

Structure:
a b c (Å): 6.793 6.793 6.793
angles (deg): 146.39 146.39 48.27
Fractional coordinates of all 5 atoms:
Bi: 0.147 0.147 0.000
Bi: 0.853 0.853 0.000
Se: 0.500 0.500 0.000
O: 0.250 0.750 0.500
O: 0.750 0.250 0.500

Largest 12 diffraction maxima, sorted by position, 10° ≤ 2θ ≤ 90°:
2θ (°)  d (Å)  Rel. int.
23.8  3.745  25.6
28.8  3.100  7.9
31.4  2.847  100.0
32.2  2.778  45.5
43.8  2.068  23.4
46.2  1.964  22.1
55.4  1.658  22.2
57.0  1.616  47.7
65.6  1.424  7.6
76.3  1.248  16.9
76.7  1.242  8.4
83.9  1.153  9.6